Theoretical powder X-ray diffraction pattern of RbTaOsS5 for Cu Kα (weighted mean of Kα1 and Kα2), from a crystal structure in OQMD, relaxed with PBE.

Structure:
```
RbTaOsS5
1.0
7.082 0.000 0.000
2.136 7.513 0.000
1.518 3.255 7.864
Rb Ta Os S
2 2 2 10
Direct
0.087 0.353 0.305
0.913 0.647 0.695
0.254 0.952 0.032
0.746 0.048 0.968
0.480 0.710 0.317
0.520 0.290 0.683
0.069 0.776 0.985
0.174 0.888 0.328
0.279 0.144 0.709
0.423 0.240 0.980
0.456 0.607 0.621
0.544 0.393 0.379
0.577 0.760 0.020
0.721 0.856 0.291
0.826 0.112 0.672
0.931 0.224 0.015
```

The 6 most intense peaks (2θ from 15° to 90°), in order of rising 2θ:
d_spacing, two_theta, I_rel, hkl
5.560, 15.94, 85, 1 1 1
4.196, 21.17, 86, -1 1 1
3.750, 23.73, 75, 0 2 1
3.362, 26.52, 96, 2 1 0
2.621, 34.21, 100, 0 0 3
1.873, 48.61, 67, -2 2 3